(1)
Simulated XRD peak list
Compound: CaAc3Pr2
Radiation: Cu Kα
Structure: a crystal structure in Alexandria, relaxed with GGA-PBE

Atomic structure:
```
12
Lattice="11.874 -1.961 0.000 11.874 1.961 0.000 -6.575 0.000 10.722" Properties=species:S:1:pos:R:3 pbc="T T T"
Ca 1.051 0.000 2.376
Ca 16.122 0.000 8.347
Ac -2.217 0.000 7.964
Ac 1.396 0.000 6.518
Ac 6.769 0.000 6.147
Ac 10.404 0.000 4.575
Ac 15.778 0.000 4.204
Ac 19.390 0.000 2.758
Pr 4.642 0.000 0.991
Pr 10.053 0.000 0.719
Pr 7.120 0.000 10.003
Pr 12.531 0.000 9.731
```

Most intense lines, 2θ from 10° to 80°, in order of rising 2θ:
2θ = 26.3°, rel. 28
2θ = 26.4°, rel. 18
2θ = 28.4°, rel. 50
2θ = 29.9°, rel. 67
2θ = 30.0°, rel. 100
2θ = 30.2°, rel. 30
2θ = 39.0°, rel. 16
2θ = 46.5°, rel. 26
2θ = 51.1°, rel. 21
2θ = 56.3°, rel. 17

(2)
Simulated XRD peak list
Compound: CaThSb2Rh5
Radiation: Cu Kα
Structure: a crystal structure in Alexandria, relaxed with GGA-PBE

Atomic structure:
```
9
Lattice="4.563 0.000 0.000 0.000 4.563 0.000 0.000 0.000 8.587" Properties=species:S:1:pos:R:3 pbc="T T T"
Ca 0.000 0.000 0.000
Th 0.000 0.000 4.294
Sb 2.282 2.282 2.877
Sb 2.282 2.282 5.710
Rh 0.000 2.282 1.834
Rh 0.000 2.282 6.753
Rh 2.282 0.000 1.834
Rh 2.282 0.000 6.753
Rh 2.282 2.282 0.000
```

Most intense lines, 2θ from 10° to 80°, in order of rising 2θ:
2θ = 22.1°, rel. 20
2θ = 28.5°, rel. 32
2θ = 29.6°, rel. 33
2θ = 34.8°, rel. 100
2θ = 37.1°, rel. 58
2θ = 39.5°, rel. 94
2θ = 42.2°, rel. 27
2θ = 55.3°, rel. 37
2θ = 57.1°, rel. 32
2θ = 68.6°, rel. 27

(3)
Simulated XRD peak list
Compound: Ba2CdBi6Rh
Radiation: Cu Kα
Structure: a crystal structure in Alexandria, relaxed with GGA-PBE

Atomic structure:
```
20
Lattice="3.430 1.981 17.789 -3.430 1.981 17.789 0.000 -3.961 17.789" Properties=species:S:1:pos:R:3 pbc="T T T"
Ba 0.000 0.000 5.319
Ba 0.000 0.000 16.868
Ba 0.000 0.000 36.499
Ba 0.000 0.000 48.048
Cd 0.000 0.000 22.520
Cd 0.000 0.000 30.847
Bi -1.792 -1.035 24.886
Bi 0.000 -2.007 19.931
Bi -1.738 1.003 19.931
Bi -1.738 -1.003 33.436
Bi 0.000 -2.069 28.481
Bi -1.792 1.035 28.481
Bi 1.792 -1.035 24.886
Bi 0.000 2.069 24.886
Bi 1.738 1.003 19.931
Bi 1.738 -1.003 33.436
Bi 0.000 2.007 33.436
Bi 1.792 1.035 28.482
Rh 0.000 0.000 0.000
Rh 0.000 0.000 26.684
```

Most intense lines, 2θ from 10° to 80°, in order of rising 2θ:
2θ = 15.3°, rel. 31
2θ = 18.9°, rel. 19
2θ = 20.0°, rel. 50
2θ = 30.1°, rel. 23
2θ = 31.3°, rel. 77
2θ = 32.3°, rel. 100
2θ = 33.0°, rel. 52
2θ = 35.3°, rel. 31
2θ = 38.4°, rel. 29
2θ = 53.4°, rel. 46

- What is the formula in the second record?
  CaThSb2Rh5

- Which formula does entry 1 have?
  CaAc3Pr2